1.
AlV2SnO8: computed powder XRD pattern (λ = 1.5418 Å (Cu Kα)), based on a cell relaxed with GGA+U.
Lines closer than 0.1° are merged.

Structure:
a b c (Å): 5.6079 5.6079 5.9060
angles (deg): 90.00 90.00 120.00
Space group P-3m1 (No. 164)
Asymmetric unit:
1 Al 0.0000 0.0000 0.0000 x1
2 V 0.3333 0.6667 0.2779 x2
3 Sn 0.0000 0.0000 0.5000 x1
4 O 0.1540 0.3080 0.2031 x6
5 O 0.3333 0.6667 0.5550 x2

Main lines, in order of rising 2θ (2θ = 5–70°):
15.00 deg, 5.906 Å, I = 41, hkl 0 0 1
18.27 deg, 4.857 Å, I = 71, hkl 1 0 0
23.72 deg, 3.751 Å, I = 93, hkl 1 0 1
31.92 deg, 2.804 Å, I = 100, hkl 1 1 0
35.44 deg, 2.533 Å, I = 55, hkl 1 1 1
35.58 deg, 2.523 Å, I = 62, hkl 0 1 2
48.54 deg, 1.876 Å, I = 50, hkl 0 2 2
49.99 deg, 1.824 Å, I = 25, hkl 0 1 3
52.18 deg, 1.753 Å, I = 26, hkl 2 1 1
59.25 deg, 1.560 Å, I = 49, hkl 1 2 2



2.
AlSnW2O8: computed powder XRD pattern (λ = 1.5418 Å (Cu Kα)), based on a cell relaxed with GGA+U.
Lines closer than 0.1° are merged.

Structure:
a b c (Å): 4.9592 5.4480 6.2539
angles (deg): 112.87 102.16 95.19
Space group P1 (No. 1)
Asymmetric unit:
1 Al 0.0000 0.0000 0.0000 x1
2 Sn 0.4605 0.5754 0.9978 x1
3 W 0.2793 0.8678 0.5394 x1
4 W 0.7400 0.4474 0.4851 x1
5 O 0.1194 0.5957 0.6917 x1
6 O 0.2057 0.1284 0.8409 x1
7 O 0.2269 0.8859 0.1937 x1
8 O 0.3880 0.5059 0.3298 x1
9 O 0.5876 0.2144 0.6025 x1
10 O 0.6732 0.8015 0.7533 x1
11 O 0.8194 0.2020 0.2119 x1
12 O 0.8920 0.7383 0.3802 x1

Main lines, in order of rising 2θ (2θ = 5–70°):
15.96 deg, 5.552 Å, I = 83, hkl 0 0 1
18.00 deg, 4.927 Å, I = 41, hkl 0 1 0
25.70 deg, 3.466 Å, I = 38, hkl 1 1 -1
26.92 deg, 3.312 Å, I = 97, hkl 1 -1 1
28.46 deg, 3.136 Å, I = 83, hkl 1 1 0
29.88 deg, 2.991 Å, I = 87, hkl -1 1 1
32.24 deg, 2.776 Å, I = 100, hkl 0 0 2
36.88 deg, 2.437 Å, I = 44, hkl 2 0 -1
41.19 deg, 2.192 Å, I = 33, hkl 1 2 -2
45.32 deg, 2.001 Å, I = 44, hkl 2 0 1